Entry 1:
Diffraction record for Li5Mn3O8. The powder diffractogram is computed, not measured: it uses DFT lattice parameters and positions (PBE+U) and CuKα.
Lines closer than 0.1° are merged.

Most intense lines, 10 to 90 degrees two-theta, in order of rising 2θ:
6.564 Å, 13.49°, I = 19; 4.923 Å, 18.02°, I = 100; 2.701 Å, 33.17°, I = 22; 2.496 Å, 35.99°, I = 24; 2.257 Å, 39.94°, I = 44; 2.066 Å, 43.81°, I = 64; 1.532 Å, 60.41°, I = 21; 1.516 Å, 61.12°, I = 20

Structure:
a b c (Å): 3.0778 3.0778 19.8318
angles (deg): 96.03 96.03 55.82
Element x y z (fractional)
Li (0.0000, 0.0000, 0.0000)
Li (0.2498, 0.2498, 0.3745)
Li (0.2687, 0.2687, 0.8877)
Li (0.7313, 0.7313, 0.1123)
Li (0.7502, 0.7502, 0.6255)
Mn (0.0000, 0.0000, 0.5000)
Mn (0.4949, 0.4949, 0.2492)
Mn (0.5051, 0.5051, 0.7508)
O (0.1131, 0.1131, 0.6922)
O (0.1207, 0.1207, 0.1966)
O (0.3849, 0.3849, 0.0638)
O (0.3941, 0.3941, 0.5580)
O (0.6059, 0.6059, 0.4420)
O (0.6152, 0.6152, 0.9362)
O (0.8793, 0.8793, 0.8034)
O (0.8869, 0.8869, 0.3078)



Entry 2:
Diffraction record for CaW2O4. The powder diffractogram is computed, not measured: it uses DFT lattice parameters and positions (PBE+U) and CuKα.
Lines closer than 0.1° are merged.

Most intense lines, 10 to 90 degrees two-theta, in order of rising 2θ:
5.417 Å, 16.36°, I = 97; 2.829 Å, 31.63°, I = 100; 2.709 Å, 33.07°, I = 61; 2.346 Å, 38.37°, I = 50; 1.806 Å, 50.54°, I = 40; 1.659 Å, 55.39°, I = 49; 1.586 Å, 58.16°, I = 22; 1.415 Å, 66.05°, I = 30

Structure:
a b c (Å): 6.6349 6.6349 6.6349
angles (deg): 60.00 60.00 60.00
Element x y z (fractional)
Ca (0.1250, 0.1250, 0.1250)
Ca (0.8750, 0.8750, 0.8750)
W (0.0000, 0.5000, 0.5000)
W (0.5000, 0.0000, 0.5000)
W (0.5000, 0.5000, 0.0000)
W (0.5000, 0.5000, 0.5000)
O (0.2659, 0.2659, 0.2659)
O (0.2659, 0.2659, 0.7024)
O (0.2659, 0.7024, 0.2659)
O (0.2976, 0.7341, 0.7341)
O (0.7024, 0.2659, 0.2659)
O (0.7341, 0.2976, 0.7341)
O (0.7341, 0.7341, 0.2976)
O (0.7341, 0.7341, 0.7341)



Entry 3:
Diffraction record for LiCr2P3O12. The powder diffractogram is computed, not measured: it uses DFT lattice parameters and positions (PBE+U) and CuKα.
Lines closer than 0.1° are merged.

Most intense lines, 10 to 90 degrees two-theta, in order of rising 2θ:
6.039 Å, 14.67°, I = 25; 4.270 Å, 20.80°, I = 100; 3.645 Å, 24.42°, I = 83; 3.631 Å, 24.51°, I = 42; 3.015 Å, 29.63°, I = 29; 2.705 Å, 33.12°, I = 22; 2.463 Å, 36.48°, I = 25; 1.613 Å, 57.09°, I = 19

Structure:
a b c (Å): 8.5345 8.5345 8.5160
angles (deg): 119.76 119.76 60.02
Element x y z (fractional)
Li (0.2308, 0.7692, 0.5000)
Li (0.7692, 0.2308, 0.0000)
Cr (0.0974, 0.5969, 0.0810)
Cr (0.3816, 0.8777, 0.9250)
Cr (0.5969, 0.0974, 0.5810)
Cr (0.8777, 0.3816, 0.4250)
P (0.1996, 0.2756, 0.2487)
P (0.2756, 0.1996, 0.7487)
P (0.4890, 0.7011, 0.2568)
P (0.7011, 0.4890, 0.7568)
P (0.7776, 0.9905, 0.2542)
P (0.9905, 0.7776, 0.7542)
O (0.0043, 0.2948, 0.2366)
O (0.0446, 0.7427, 0.9395)
O (0.1142, 0.2342, 0.5628)
O (0.1579, 0.7975, 0.7479)
O (0.1778, 0.4713, 0.2547)
O (0.2342, 0.1142, 0.0628)
O (0.2431, 0.3633, 0.9308)
O (0.2948, 0.0043, 0.7366)
O (0.3229, 0.6824, 0.2661)
O (0.3633, 0.2431, 0.4308)
O (0.4358, 0.7370, 0.0749)
O (0.4713, 0.1778, 0.7547)
O (0.5066, 0.6578, 0.7491)
O (0.5475, 0.8614, 0.4412)
O (0.6136, 0.9390, 0.0709)
O (0.6578, 0.5066, 0.2491)
O (0.6824, 0.3229, 0.7661)
O (0.7370, 0.4358, 0.5749)
O (0.7427, 0.0446, 0.4395)
O (0.7975, 0.1579, 0.2479)
O (0.8249, 0.9723, 0.7664)
O (0.8614, 0.5475, 0.9412)
O (0.9390, 0.6136, 0.5709)
O (0.9723, 0.8249, 0.2664)